[1]
The following is a simulated X-ray powder pattern of InGaCu14. It was derived from a cell relaxed with PBE, using Cu Ka.

Peak list (10 most intense, 2θ = 10–90°, sorted by position)
| Position (°2θ) | d/Å | Rel. int. |
| --- | --- | --- |
| 20.8 | 4.277 | 1 |
| 36.0 | 2.493 | 1 |
| 42.3 | 2.139 | 100 |
| 48.4 | 1.879 | 33 |
| 50.7 | 1.802 | 14 |
| 70.9 | 1.329 | 10 |
| 72.7 | 1.300 | 17 |
| 75.0 | 1.267 | 1 |
| 86.2 | 1.129 | 22 |
| 89.6 | 1.094 | 9 |

a b c (Å): 5.3146 5.3146 7.2062
angles (deg): 90.00 90.00 90.00
Fractional coordinates of all 16 atoms:
In: 0.0000 0.0000 0.0000
Ga: 0.5000 0.5000 0.0000
Cu: 0.0000 0.0000 0.5000
Cu: 0.0000 0.5000 0.0000
Cu: 0.0000 0.5000 0.5000
Cu: 0.2548 0.2548 0.2618
Cu: 0.2548 0.2548 0.7382
Cu: 0.2548 0.7452 0.2618
Cu: 0.2548 0.7452 0.7382
Cu: 0.5000 0.0000 0.0000
Cu: 0.5000 0.0000 0.5000
Cu: 0.5000 0.5000 0.5000
Cu: 0.7452 0.2548 0.2618
Cu: 0.7452 0.2548 0.7382
Cu: 0.7452 0.7452 0.2618
Cu: 0.7452 0.7452 0.7382

=====

[2]
The following is a simulated X-ray powder pattern of NdInGaCu. It was derived from a cell relaxed with PBE, using Cu Ka.

Peak list (10 most intense, 2θ = 10–90°, sorted by position)
| Position (°2θ) | d/Å | Rel. int. |
| --- | --- | --- |
| 22.1 | 4.026 | 1 |
| 25.6 | 3.486 | 11 |
| 36.4 | 2.465 | 100 |
| 45.0 | 2.013 | 3 |
| 52.5 | 1.743 | 17 |
| 59.3 | 1.559 | 4 |
| 65.6 | 1.423 | 34 |
| 77.4 | 1.233 | 11 |
| 83.1 | 1.162 | 2 |
| 88.7 | 1.102 | 15 |

a b c (Å): 4.9304 4.9304 4.9304
angles (deg): 60.00 60.00 60.00
Fractional coordinates of all 4 atoms:
Nd: 0.0000 0.0000 0.0000
In: 0.5000 0.5000 0.5000
Ga: 0.7500 0.7500 0.7500
Cu: 0.2500 0.2500 0.2500

=====

[3]
The following is a simulated X-ray powder pattern of InGaCuO4. It was derived from a cell relaxed with PBE, using Cu Ka.

Peak list (10 most intense, 2θ = 10–90°, sorted by position)
| Position (°2θ) | d/Å | Rel. int. |
| --- | --- | --- |
| 21.2 | 4.190 | 29 |
| 30.5 | 2.929 | 100 |
| 32.0 | 2.793 | 59 |
| 33.6 | 2.670 | 100 |
| 35.3 | 2.544 | 96 |
| 47.5 | 1.913 | 56 |
| 53.8 | 1.703 | 72 |
| 60.4 | 1.534 | 42 |
| 64.0 | 1.454 | 46 |
| 66.0 | 1.415 | 16 |

a b c (Å): 8.6068 8.6068 8.6068
angles (deg): 22.82 22.82 22.82
Fractional coordinates of all 7 atoms:
In: 0.0000 0.0000 0.0000
Ga: 0.7880 0.7880 0.7880
Cu: 0.2143 0.2143 0.2143
O: 0.1259 0.1259 0.1259
O: 0.2939 0.2939 0.2939
O: 0.7113 0.7113 0.7113
O: 0.8667 0.8667 0.8667